Structure and computed X-ray powder pattern of Rb2PuMnS4 (the GGA-PBE geometry in Alexandria; Cu Kα X-rays).
Neutral-atom scattering factors, no anomalous dispersion.

```
data_Rb2PuMnS4
_chemical_formula_sum 'Rb8 Pu4 Mn4 S16'
_cell_length_a 8.205
_cell_length_b 8.420
_cell_length_c 12.074
_cell_angle_alpha 90.00
_cell_angle_beta 90.00
_cell_angle_gamma 90.00
_symmetry_space_group_name_H-M 'I m m a'
_symmetry_Int_Tables_number 74
_symmetry_space_group_name_Hall '-I 2b 2'
loop_
_atom_site_label
_atom_site_fract_x
_atom_site_fract_y
_atom_site_fract_z
_atom_site_occupancy
Rb1 0.000 0.000 0.000 1
Rb2 0.250 0.250 0.250 1
Pu1 0.000 0.000 0.500 1
Mn1 0.250 0.250 0.750 1
S1 0.000 0.055 0.730 1
S2 0.209 0.250 0.514 1
```

Peak list (10 most intense, 15 to 90 degrees two-theta, by intensity)
2θ (°)	I_rel	h k l
30.42	100	2 2 0
42.96	90	2 2 4
29.59	56	0 0 4
25.80	54	0 2 2
26.26	50	2 0 2
51.06	23	2 4 2
51.84	20	4 2 2
54.05	18	4 0 4
53.04	18	0 4 4
24.89	18	1 2 1

Structure and computed X-ray powder pattern of Sm4Re6O19 (the GGA-PBE geometry in Alexandria; Cu Kα X-rays).
Neutral-atom scattering factors, no anomalous dispersion.

```
data_Sm4Re6O19
_chemical_formula_sum 'Sm8 Re12 O38'
_cell_length_a 9.080
_cell_length_b 9.080
_cell_length_c 9.080
_cell_angle_alpha 90.00
_cell_angle_beta 90.00
_cell_angle_gamma 90.00
_symmetry_space_group_name_H-M 'I 2 3'
_symmetry_Int_Tables_number 197
_symmetry_space_group_name_Hall 'I 2 2 3'
loop_
_atom_site_label
_atom_site_fract_x
_atom_site_fract_y
_atom_site_fract_z
_atom_site_occupancy
Sm1 0.150 0.150 0.850 1
Re1 0.000 0.367 0.500 1
O1 0.000 0.000 0.000 1
O2 0.000 0.000 0.318 1
O3 0.009 0.340 0.718 1
```

Peak list (10 most intense, 15 to 90 degrees two-theta, by intensity)
2θ (°)	I_rel	h k l
31.15	100	3 1 0
51.31	68	4 1 3
37.05	51	3 2 1
24.01	39	2 1 1
19.55	34	2 0 0
61.25	29	6 0 0
55.43	23	5 2 1
49.16	13	4 2 2
66.77	13	5 4 1
83.91	12	7 3 2

Structure and computed X-ray powder pattern of BaTa6O16 (the GGA-PBE geometry in Alexandria; Cu Kα X-rays).
Neutral-atom scattering factors, no anomalous dispersion.

```
data_BaTa6O16
_chemical_formula_sum 'Ba2 Ta12 O32'
_cell_length_a 3.916
_cell_length_b 10.398
_cell_length_c 15.253
_cell_angle_alpha 90.00
_cell_angle_beta 90.00
_cell_angle_gamma 90.00
_symmetry_space_group_name_H-M 'A m m 2'
_symmetry_Int_Tables_number 38
loop_
_symmetry_equiv_pos_as_xyz
'x,y,z'
'-x,-y,z'
'-x,y,z'
'x,-y,z'
'x,y+1/2,z+1/2'
'-x,-y+1/2,z+1/2'
'-x,y+1/2,z+1/2'
'x,-y+1/2,z+1/2'
loop_
_atom_site_label
_atom_site_fract_x
_atom_site_fract_y
_atom_site_fract_z
_atom_site_occupancy
Ba1 0.000 0.000 0.000 1
Ta1 0.500 0.000 0.194 1
Ta2 0.500 0.000 0.407 1
Ta3 0.500 0.185 0.585 1
Ta4 0.500 0.186 0.833 1
O1 0.000 0.000 0.186 1
O2 0.000 0.000 0.403 1
O3 0.000 0.177 0.851 1
O4 0.000 0.190 0.582 1
O5 0.500 0.000 0.543 1
O6 0.500 0.000 0.877 1
O7 0.500 0.123 0.294 1
O8 0.500 0.127 0.095 1
O9 0.500 0.151 0.711 1
O10 0.500 0.198 0.447 1
```

Peak list (10 most intense, 15 to 90 degrees two-theta, by intensity)
2θ (°)	I_rel	h k l
22.70	100	1 0 0
26.37	84	0 3 1
29.04	67	0 2 4
35.07	52	1 3 1
37.18	43	1 2 4
30.54	38	0 1 5
46.37	31	2 0 0
32.78	28	1 0 4
30.06	27	1 1 3
24.99	24	1 1 1

Structure and computed X-ray powder pattern of Ag7Pd3Au2 (the GGA-PBE geometry in Alexandria; Cu Kα X-rays).
Neutral-atom scattering factors, no anomalous dispersion.

```
data_Ag7Pd3Au2
_chemical_formula_sum 'Ag7 Pd3 Au2'
_cell_length_a 2.874
_cell_length_b 4.907
_cell_length_c 16.579
_cell_angle_alpha 96.08
_cell_angle_beta 94.91
_cell_angle_gamma 90.02
_symmetry_space_group_name_H-M 'P -1'
_symmetry_Int_Tables_number 2
loop_
_symmetry_equiv_pos_as_xyz
'x,y,z'
'-x,-y,-z'
loop_
_atom_site_label
_atom_site_fract_x
_atom_site_fract_y
_atom_site_fract_z
_atom_site_occupancy
Ag1 0.000 0.000 0.000 1
Ag2 0.073 0.392 0.145 1
Ag3 0.286 0.068 0.571 1
Ag4 0.427 0.110 0.855 1
Pd1 0.144 0.781 0.287 1
Pd2 0.500 0.500 0.000 1
Au1 0.351 0.712 0.704 1
```

Peak list (10 most intense, 15 to 90 degrees two-theta, by intensity)
2θ (°)	I_rel	h k l
38.14	100	1 -1 2
38.36	87	0 0 7
42.17	65	1 1 3
39.62	58	0 2 2
45.35	49	-1 1 5
40.25	45	1 1 -4
37.86	40	0 2 1
43.81	33	0 2 -5
65.76	32	1 3 -2
43.02	24	1 -1 4

Structure and computed X-ray powder pattern of Dy2Y2HoMg (the GGA-PBE geometry in Alexandria; Cu Kα X-rays).
Neutral-atom scattering factors, no anomalous dispersion.

```
data_Dy2Y2HoMg
_chemical_formula_sum 'Dy4 Y4 Ho2 Mg2'
_cell_length_a 10.344
_cell_length_b 11.669
_cell_length_c 3.609
_cell_angle_alpha 90.00
_cell_angle_beta 90.00
_cell_angle_gamma 90.00
_symmetry_space_group_name_H-M 'P n n m'
_symmetry_Int_Tables_number 58
loop_
_symmetry_equiv_pos_as_xyz
'x,y,z'
'-x,-y,-z'
'-x,-y,z'
'x,y,-z'
'x+1/2,-y+1/2,-z+1/2'
'-x+1/2,y+1/2,z+1/2'
'-x+1/2,y+1/2,-z+1/2'
'x+1/2,-y+1/2,z+1/2'
loop_
_atom_site_label
_atom_site_fract_x
_atom_site_fract_y
_atom_site_fract_z
_atom_site_occupancy
Dy1 0.087 0.224 0.000 1
Y1 0.249 0.429 0.500 1
Ho1 0.000 0.000 0.500 1
Mg1 0.000 0.500 0.000 1
```

Peak list (10 most intense, 15 to 90 degrees two-theta, by intensity)
2θ (°)	I_rel	h k l
30.38	100	1 2 1
18.77	82	2 1 0
31.18	65	2 1 1
36.87	59	3 1 1
35.01	46	1 3 1
38.06	40	4 2 0
38.21	30	2 3 1
35.32	25	2 4 0
30.65	25	0 4 0
33.90	25	0 3 1

Structure and computed X-ray powder pattern of RbLiAl2Tc (the GGA-PBE geometry in Alexandria; Cu Kα X-rays).
Neutral-atom scattering factors, no anomalous dispersion.

```
data_RbLiAl2Tc
_chemical_formula_sum 'Rb1 Li1 Al2 Tc1'
_cell_length_a 4.889
_cell_length_b 4.889
_cell_length_c 5.048
_cell_angle_alpha 90.00
_cell_angle_beta 90.00
_cell_angle_gamma 90.00
_symmetry_space_group_name_H-M 'P 4/m m m'
_symmetry_Int_Tables_number 123
_symmetry_space_group_name_Hall '-P 4 2'
loop_
_atom_site_label
_atom_site_fract_x
_atom_site_fract_y
_atom_site_fract_z
_atom_site_occupancy
Rb1 0.000 0.000 0.000 1
Li1 0.000 0.000 0.500 1
Al1 0.000 0.500 0.500 1
Tc1 0.500 0.500 0.000 1
```

Peak list (10 most intense, 15 to 90 degrees two-theta, by intensity)
2θ (°)	I_rel	h k l
31.36	100	1 1 1
36.77	35	2 0 0
17.57	29	0 0 1
25.77	28	1 1 0
62.87	26	3 1 1
52.09	25	2 0 2
35.57	19	0 0 2
61.27	14	1 1 3
41.02	14	2 0 1
44.44	13	1 1 2

Structure and computed X-ray powder pattern of Pm2Fe12Si7 (the GGA-PBE geometry in Alexandria; Cu Kα X-rays).
Neutral-atom scattering factors, no anomalous dispersion.

```
data_Pm2Fe12Si7
_chemical_formula_sum 'Pm2 Fe12 Si7'
_cell_length_a 9.1981
_cell_length_b 9.1981
_cell_length_c 3.7619
_cell_angle_alpha 90.00
_cell_angle_beta 90.00
_cell_angle_gamma 120.00
_symmetry_space_group_name_H-M 'P -6'
_symmetry_Int_Tables_number 174
loop_
_symmetry_equiv_pos_as_xyz
'x,y,z'
'-x+y,-x,-z'
'-y,x-y,z'
'x,y,-z'
'-x+y,-x,z'
'-y,x-y,-z'
loop_
_atom_site_label
_atom_site_fract_x
_atom_site_fract_y
_atom_site_fract_z
_atom_site_occupancy
Pm1 0.0000 0.0000 0.0000 1
Pm2 0.3333 0.6667 0.5000 1
Fe1 0.0554 0.7607 0.5000 1
Fe2 0.1100 0.3722 0.0000 1
Fe3 0.3886 0.2041 0.0000 1
Fe4 0.5595 0.1232 0.5000 1
Si1 0.0527 0.5959 0.0000 1
Si2 0.2741 0.0508 0.5000 1
Si3 0.6667 0.3333 0.0000 1
```

Peak list (10 most intense, 15 to 90 degrees two-theta, by intensity)
2θ (°)	I_rel	h k l
38.29	100	1 2 1
48.39	21	0 0 2
47.74	19	1 3 1
26.20	17	1 0 1
39.18	17	2 2 0
74.33	15	2 5 0
40.85	13	3 1 0
52.65	13	4 1 0
29.67	13	1 2 0
55.94	10	2 3 1

Structure and computed X-ray powder pattern of Fe3BiI12 (the GGA-PBE geometry in Alexandria; Cu Kα X-rays).
Neutral-atom scattering factors, no anomalous dispersion.

```
data_Fe3BiI12
_chemical_formula_sum 'Fe6 Bi2 I24'
_cell_length_a 15.5634
_cell_length_b 15.5634
_cell_length_c 8.1347
_cell_angle_alpha 90.00
_cell_angle_beta 90.00
_cell_angle_gamma 120.00
_symmetry_space_group_name_H-M 'P 63/m'
_symmetry_Int_Tables_number 176
_symmetry_space_group_name_Hall '-P 6c'
loop_
_atom_site_label
_atom_site_fract_x
_atom_site_fract_y
_atom_site_fract_z
_atom_site_occupancy
Fe1 0.1313 0.4331 0.2500 1
Bi1 0.3333 0.6667 0.7500 1
I1 0.0209 0.5062 0.2500 1
I2 0.0406 0.2481 0.2500 1
I3 0.2351 0.7552 0.5124 1
```

Peak list (10 most intense, 15 to 90 degrees two-theta, by intensity)
2θ (°)	I_rel	h k l
28.07	100	2 1 2
26.45	87	4 0 0
17.09	48	2 0 1
15.76	41	1 1 1
20.57	37	1 2 1
23.80	37	3 1 0
31.83	35	2 2 2
49.70	30	6 1 2
42.27	26	3 4 1
37.74	25	1 4 2

Structure and computed X-ray powder pattern of CsAs2Au2Se6 (the GGA-PBE geometry in Alexandria; Cu Kα X-rays).
Neutral-atom scattering factors, no anomalous dispersion.

```
data_CsAs2Au2Se6
_chemical_formula_sum 'Cs1 As2 Au2 Se6'
_cell_length_a 7.398
_cell_length_b 8.480
_cell_length_c 8.520
_cell_angle_alpha 117.92
_cell_angle_beta 108.24
_cell_angle_gamma 94.39
_symmetry_space_group_name_H-M 'P -1'
_symmetry_Int_Tables_number 2
loop_
_symmetry_equiv_pos_as_xyz
'x,y,z'
'-x,-y,-z'
loop_
_atom_site_label
_atom_site_fract_x
_atom_site_fract_y
_atom_site_fract_z
_atom_site_occupancy
Cs1 0.000 0.000 0.000 1
As1 0.211 0.756 0.444 1
Au1 0.477 0.547 0.724 1
Se1 0.190 0.067 0.527 1
Se2 0.402 0.835 0.769 1
Se3 0.435 0.724 0.277 1
```

Peak list (10 most intense, 15 to 90 degrees two-theta, by intensity)
2θ (°)	I_rel	h k l
20.21	100	1 1 0
22.00	77	0 1 -2
23.82	70	1 0 -2
33.44	43	1 0 2
44.79	29	2 1 -4
28.58	28	2 1 -2
33.17	28	1 -3 1
39.11	25	3 1 -2
28.68	24	2 0 -2
51.53	23	2 4 -3